[1]
Theoretical powder diffractogram of CaInBrF2 for Cu Kα (weighted mean of Kα1 and Kα2), from the GGA-PBE geometry in Alexandria.
Neutral-atom scattering factors, no anomalous dispersion.

Atomic structure:
```
CaInBrF2
1.0
6.8652 0.0000 0.0000
0.0000 4.0619 0.0000
-2.6092 0.0000 8.2857
Ca In Br F
2 2 2 4
Cartesian
0.0992 1.0155 3.5042
4.1568 3.0464 4.7815
-0.9192 1.0155 7.7538
5.1752 3.0464 0.5319
1.2794 3.0464 5.5313
2.9766 1.0155 2.7544
-0.9571 3.0464 3.2246
-0.2013 1.0155 1.2346
4.4573 3.0464 7.0511
5.2131 1.0155 5.0611
```

Largest 10 diffraction maxima, sorted by position, 10° ≤ 2θ ≤ 90°:
2θ/deg	d [Å]	Rel. int.
25.8	3.452	72
26.4	3.382	100
28.8	3.105	38
29.2	3.053	84
30.8	2.900	66
32.3	2.774	36
35.2	2.549	37
36.4	2.467	65
44.6	2.031	39
49.8	1.831	37



[2]
Theoretical powder diffractogram of Li2NdSN for Cu Kα (weighted mean of Kα1 and Kα2), from the GGA-PBE geometry in Alexandria.
Neutral-atom scattering factors, no anomalous dispersion.

Atomic structure:
```
Li2NdSN
1.0
-2.8992 2.8992 4.8076
2.8992 -2.8992 4.8076
2.8992 2.8992 -4.8076
Li Nd S N
4 2 2 2
Cartesian
3.9456 1.0464 0.0000
1.0464 1.8528 0.0000
1.8528 1.0464 4.8076
-1.0464 1.8528 4.8076
0.0000 0.0000 2.4052
0.0000 0.0000 7.2128
2.8992 0.0000 2.4129
0.0000 2.8992 2.4129
0.0000 0.0000 0.0046
0.0000 0.0000 4.8122
```

Largest 10 diffraction maxima, sorted by position, 10° ≤ 2θ ≤ 90°:
2θ/deg	d [Å]	Rel. int.
18.5	4.808	100
21.7	4.100	87
28.6	3.120	55
30.8	2.899	83
36.2	2.483	91
37.4	2.404	29
43.6	2.074	28
44.2	2.050	33
48.3	1.886	35
49.2	1.850	42



[3]
Theoretical powder diffractogram of Th2CuNi3P4 for Cu Kα (weighted mean of Kα1 and Kα2), from the GGA-PBE geometry in Alexandria.
Neutral-atom scattering factors, no anomalous dispersion.

Atomic structure:
```
Th2CuNi3P4
1.0
4.1297 0.0000 0.0000
0.0000 4.1297 0.0000
0.0000 0.0000 9.0941
Th Cu Ni P
2 1 3 4
Cartesian
0.0000 2.0649 2.2486
2.0649 0.0000 6.8455
0.0000 0.0000 4.5471
0.0000 2.0649 8.0902
2.0649 0.0000 1.0039
2.0649 2.0649 4.5471
0.0000 0.0000 0.0000
0.0000 2.0649 5.7749
2.0649 0.0000 3.3193
2.0649 2.0649 0.0000
```

Largest 10 diffraction maxima, sorted by position, 10° ≤ 2θ ≤ 90°:
2θ/deg	d [Å]	Rel. int.
23.7	3.760	74
30.6	2.920	40
36.6	2.457	100
36.8	2.444	89
43.8	2.065	53
50.4	1.810	22
55.2	1.665	23
58.5	1.577	46
73.0	1.296	20
75.8	1.255	24



[4]
Theoretical powder diffractogram of LaCe2Y3Se6 for Cu Kα (weighted mean of Kα1 and Kα2), from the GGA-PBE geometry in Alexandria.
Neutral-atom scattering factors, no anomalous dispersion.

Atomic structure:
```
LaCe2Y3Se6
1.0
3.5826 -6.2140 0.0000
3.5826 6.2140 0.0000
-2.3955 0.0000 6.8827
La Ce Y Se
1 2 3 6
Cartesian
0.0000 0.0000 0.0000
3.5826 2.0743 0.0000
3.5826 -2.0743 0.0000
2.3849 4.1837 3.4414
2.3849 0.0000 3.4414
2.3849 -4.1837 3.4414
1.2085 2.0979 1.8195
0.0274 0.0000 5.0856
1.2085 -2.0979 1.8195
3.5613 2.0979 5.0632
4.7424 0.0000 1.7972
3.5613 -2.0979 5.0632
```

Largest 10 diffraction maxima, sorted by position, 10° ≤ 2θ ≤ 90°:
2θ/deg	d [Å]	Rel. int.
30.4	2.945	100
43.2	2.095	37
43.7	2.070	36
53.2	1.721	6
54.2	1.693	19
63.1	1.472	12
71.3	1.323	16
72.1	1.311	16
78.8	1.214	6
79.9	1.200	8